This entry pairs a crystal structure of RbCo2PdF8 with its simulated XRD peak list. Radiation: Cu Kα, 1.54184 Å. Structure: a crystal structure in Alexandria, relaxed with GGA+U.
Neutral-atom scattering factors, no anomalous dispersion.

Structure:
a b c (Å): 5.1259 5.1294 6.6947
angles (deg): 89.89 89.91 86.05
Space group P-1 (No. 2)
Inequivalent atoms, fractional coordinates:
Rb (0.0000, 0.0000, 0.0000) [1 per cell]
Co (0.5000, 0.4999, 0.2555) [2 per cell]
Pd (0.0000, 0.0000, 0.5000) [1 per cell]
F (0.1713, 0.7410, 0.6951) [2 per cell]
F (0.1720, 0.7416, 0.3052) [2 per cell]
F (0.3496, 0.2903, 0.5001) [2 per cell]
F (0.3994, 0.2974, 0.0003) [2 per cell]

Largest 10 diffraction maxima, by angle, 15° ≤ 2θ ≤ 90°:
2θ (°)  d [Å]  I (rel.)
23.7  3.749  91.6
25.5  3.499  62.6
32.0  2.801  100.0
35.1  2.557  28.1
37.2  2.419  17.0
47.2  1.927  32.8
47.3  1.923  32.5
49.1  1.854  42.7
58.2  1.585  13.4
61.0  1.520  21.7